Structure and theoretical powder diffractogram of Er3InPb2 (a GGA-PBE-relaxed structure; Cu Kα).
Intensities are scaled so that the largest is 100.

Cell and atoms:
Lattice parameters (Å, degrees): 8.8454 8.8454 8.8454 150.49 150.48 42.23
Fractional coordinates of all 6 atoms:
Er  0.0000  0.0000  0.0000
Er  0.1680  0.6680  0.5000
Er  0.8320  0.3320  0.5000
In  0.5000  0.5000  0.0000
Pb  0.3562  0.8562  0.5000
Pb  0.6438  0.1438  0.5000

Top 6 peaks for 2θ = 5–70°, in order of rising 2θ:
2theta, I/Imax
28.0, 30
30.1, 73
32.6, 38
35.6, 100
40.0, 59
52.5, 40

***

Structure and theoretical powder diffractogram of Er7In2Pb2 (a GGA-PBE-relaxed structure; Cu Kα).
Intensities are scaled so that the largest is 100.

Cell and atoms:
Lattice parameters (Å, degrees): 6.8272 6.8272 7.7258 90.00 90.00 108.02
Fractional coordinates of all 11 atoms:
Er  0.0000  0.0000  0.0000
Er  0.0000  0.5000  0.2891
Er  0.0000  0.5000  0.7109
Er  0.5000  0.0000  0.2891
Er  0.5000  0.0000  0.7109
Er  0.5000  0.5000  0.2746
Er  0.5000  0.5000  0.7254
In  0.1765  0.1765  0.5000
In  0.8235  0.8235  0.5000
Pb  0.2962  0.7038  0.0000
Pb  0.7038  0.2962  0.0000

Top 6 peaks for 2θ = 5–70°, in order of rising 2θ:
2theta, I/Imax
25.0, 59
26.9, 32
27.5, 31
32.4, 55
35.5, 57
36.1, 100

***

Structure and theoretical powder diffractogram of PrErInPb (a GGA-PBE-relaxed structure; Cu Kα).
Intensities are scaled so that the largest is 100.

Cell and atoms:
Lattice parameters (Å, degrees): 5.7398 5.7398 5.7398 127.99 127.99 76.64
Fractional coordinates of all 4 atoms:
Pr  0.0000  0.0000  0.0000
Er  0.5000  0.5000  0.0000
In  0.2500  0.7500  0.5000
Pb  0.7500  0.2500  0.5000

Top 6 peaks for 2θ = 5–70°, in order of rising 2θ:
2theta, I/Imax
32.1, 100
35.7, 38
40.0, 14
51.3, 13
54.7, 22
61.8, 31

***

Structure and theoretical powder diffractogram of TbEr5In2Pb (a GGA-PBE-relaxed structure; Cu Kα).
Intensities are scaled so that the largest is 100.

Cell and atoms:
Lattice parameters (Å, degrees): 9.2999 9.2999 9.2999 125.46 125.46 80.78
Fractional coordinates of all 18 atoms:
Tb  0.2500  0.7500  0.5000
Tb  0.7500  0.2500  0.5000
Er  0.0000  0.0000  0.0000
Er  0.0759  0.5759  0.9173
Er  0.1586  0.0759  0.5000
Er  0.3414  0.8414  0.9173
Er  0.4241  0.3414  0.5000
Er  0.5000  0.5000  0.0000
Er  0.5759  0.6586  0.5000
Er  0.6586  0.1586  0.0827
Er  0.8414  0.9241  0.5000
Er  0.9241  0.4241  0.0827
In  0.1109  0.3891  0.5000
In  0.3891  0.8891  0.2782
In  0.6109  0.1109  0.7218
In  0.8891  0.6109  0.5000
Pb  0.2500  0.2500  0.0000
Pb  0.7500  0.7500  0.0000

Top 6 peaks for 2θ = 5–70°, in order of rising 2θ:
2theta, I/Imax
29.6, 55
30.1, 32
32.9, 100
33.2, 13
54.7, 22
60.7, 14